# Dy3Mg3Co
Theoretical X-ray diffraction stick pattern, Cu Ka. Input: a DFT-relaxed cell (PBE, Alexandria).

Top 8 peaks for 2θ = 5–70°, by angle:
Position (°2θ)	I (rel.)
10.84	71
25.19	34
27.49	29
30.98	73
32.91	100
35.93	48
45.83	37
55.11	68

Crystal structure
Cell: 9.999 9.999 9.999 Å, 60.00 60.00 60.00°
Atoms (fractional coordinates):
Dy (0.069, 0.069, 0.681)
Dy (0.069, 0.681, 0.069)
Dy (0.069, 0.681, 0.681)
Dy (0.319, 0.319, 0.931)
Dy (0.319, 0.931, 0.319)
Dy (0.319, 0.931, 0.931)
Dy (0.681, 0.069, 0.069)
Dy (0.681, 0.069, 0.681)
Dy (0.681, 0.681, 0.069)
Dy (0.931, 0.319, 0.319)
Dy (0.931, 0.319, 0.931)
Dy (0.931, 0.931, 0.319)
Mg (0.000, 0.500, 0.500)
Mg (0.295, 0.295, 0.295)
Mg (0.295, 0.295, 0.615)
Mg (0.295, 0.615, 0.295)
Mg (0.385, 0.705, 0.705)
Mg (0.500, 0.000, 0.500)
Mg (0.500, 0.500, 0.000)
Mg (0.500, 0.500, 0.500)
Mg (0.615, 0.295, 0.295)
Mg (0.705, 0.385, 0.705)
Mg (0.705, 0.705, 0.385)
Mg (0.705, 0.705, 0.705)
Co (0.000, 0.000, 0.000)
Co (0.000, 0.000, 0.500)
Co (0.000, 0.500, 0.000)
Co (0.500, 0.000, 0.000)